Record 1
HoTm2Lu: theoretical powder diffractogram (Cu Kα), based on a structure optimized by DFT (GGA-PBE).
Neutral-atom scattering factors, no anomalous dispersion.

The 12 most intense peaks (10° ≤ 2θ ≤ 90°), in order of falling intensity:
(1 4 0), d = 2.683 Å, 33.4 deg, intensity 100; (0 2 2), d = 3.074 Å, 29.1 deg, intensity 24; (2 0 0), d = 2.750 Å, 32.6 deg, intensity 24; (2 6 2), d = 1.491 Å, 62.3 deg, intensity 22; (3 4 0), d = 1.574 Å, 58.6 deg, intensity 20; (0 6 2), d = 1.775 Å, 51.5 deg, intensity 20; (1 8 0), d = 1.480 Å, 62.8 deg, intensity 16; (2 2 2), d = 2.049 Å, 44.2 deg, intensity 15; (1 10 2), d = 1.137 Å, 85.4 deg, intensity 14; (3 8 0), d = 1.178 Å, 81.8 deg, intensity 8; (2 8 0), d = 1.342 Å, 70.2 deg, intensity 4; (4 2 2), d = 1.255 Å, 75.8 deg, intensity 3

Structure:
Cell: 5.4997 12.2955 7.0980 Å, 90.00 90.00 90.00°
Space group Ama2 (No. 40)
Inequivalent atoms, fractional coordinates:
Ho (0.2500, 0.1666, 0.0000)
Tm (0.2500, 0.1663, 0.5005)
Tm (0.2500, 0.4170, 0.2497)
Lu (0.2500, 0.4169, 0.7508)

Record 2
CuAg2: theoretical powder diffractogram (Cu Kα), based on a structure optimized by DFT (GGA-PBE).
Neutral-atom scattering factors, no anomalous dispersion.

The 12 most intense peaks (10° ≤ 2θ ≤ 90°), in order of falling intensity:
(1 0 9), d = 2.302 Å, 39.1 deg, intensity 100; (1 1 0), d = 2.043 Å, 44.3 deg, intensity 50; (1 0 7), d = 2.489 Å, 36.1 deg, intensity 37; (2 1 9), d = 1.224 Å, 78.1 deg, intensity 24; (1 1 16), d = 1.479 Å, 62.8 deg, intensity 19; (0 0 16), d = 2.143 Å, 42.2 deg, intensity 16; (2 0 0), d = 1.445 Å, 64.5 deg, intensity 15; (1 0 25), d = 1.239 Å, 77.0 deg, intensity 12; (2 0 16), d = 1.198 Å, 80.1 deg, intensity 9; (1 0 11), d = 2.119 Å, 42.7 deg, intensity 9; (2 1 7), d = 1.249 Å, 76.2 deg, intensity 8; (1 1 18), d = 1.393 Å, 67.2 deg, intensity 5

Structure:
Cell: 2.8895 2.8895 34.2872 Å, 90.00 90.00 90.00°
Space group I4/mmm (No. 139)
Inequivalent atoms, fractional coordinates:
Cu (0.0000, 0.0000, 0.0000)
Cu (0.0000, 0.0000, 0.4576)
Ag (0.0000, 0.0000, 0.0956)
Ag (0.0000, 0.0000, 0.2193)
Ag (0.0000, 0.0000, 0.3423)

Record 3
Rb2DyTlI6: theoretical powder diffractogram (Cu Kα), based on a structure optimized by DFT (GGA-PBE).
Neutral-atom scattering factors, no anomalous dispersion.

The 12 most intense peaks (10° ≤ 2θ ≤ 90°), in order of falling intensity:
(4 0 0), d = 3.176 Å, 28.1 deg, intensity 100; (4 4 0), d = 2.246 Å, 40.2 deg, intensity 75; (2 0 0), d = 6.352 Å, 13.9 deg, intensity 61; (2 2 2), d = 3.667 Å, 24.3 deg, intensity 38; (4 2 0), d = 2.841 Å, 31.5 deg, intensity 33; (8 4 0), d = 1.420 Å, 65.7 deg, intensity 33; (4 4 4), d = 1.834 Å, 49.7 deg, intensity 26; (8 4 4), d = 1.297 Å, 73.0 deg, intensity 24; (2 2 0), d = 4.492 Å, 19.8 deg, intensity 24; (6 0 0), d = 2.117 Å, 42.7 deg, intensity 18; (6 2 2), d = 1.915 Å, 47.5 deg, intensity 16; (8 0 0), d = 1.588 Å, 58.1 deg, intensity 12

Structure:
Cell: 12.7042 12.7042 12.7042 Å, 90.00 90.00 90.00°
Space group Fm-3m (No. 225)
Inequivalent atoms, fractional coordinates:
Rb (0.2500, 0.2500, 0.2500)
Dy (0.0000, 0.0000, 0.0000)
Tl (0.0000, 0.0000, 0.5000)
I (0.0000, 0.0000, 0.2375)